Record 1
This entry pairs a crystal structure of Nd3Y2Ni2 with its calculated X-ray powder pattern. Radiation: Cu Kα (λ = 1.5418 Å). Structure: a GGA-PBE-relaxed structure.

Structure:
```
Nd3Y2Ni2
1.0
6.0611 -1.8745 0.0000
6.0611 1.8745 0.0000
-3.5514 0.0000 8.2793
Nd Y Ni
3 2 2
Cartesian
0.0000 0.0000 0.0000
-0.1210 0.0000 3.5506
8.6919 0.0000 4.7287
3.3318 0.0000 1.5811
5.2391 0.0000 6.6982
1.2820 0.0000 6.4358
7.2888 0.0000 1.8435
```

Peak list (10 most intense, 2θ = 10–90°, by angle)
25.1°, intensity 36.5
29.5°, intensity 52.1
29.9°, intensity 70.3
31.0°, intensity 53.7
31.6°, intensity 83.0
32.6°, intensity 100.0
34.8°, intensity 61.3
35.3°, intensity 84.8
38.7°, intensity 49.2
48.6°, intensity 39.7

***

Record 2
This entry pairs a crystal structure of Sc5Al2Bi2 with its calculated X-ray powder pattern. Radiation: Cu Kα (λ = 1.5418 Å). Structure: a GGA-PBE-relaxed structure.

Structure:
```
Sc5Al2Bi2
1.0
7.4046 -3.8018 0.0000
7.4046 3.8018 0.0000
0.0000 0.0000 7.5969
Sc Al Bi
10 4 4
Cartesian
0.0000 0.0000 0.0000
5.5309 2.5186 5.0866
5.5309 1.2832 1.2881
9.2784 2.5186 5.0866
9.2784 1.2832 1.2881
7.4046 0.0000 3.7984
5.5309 -1.2832 6.3088
5.5309 -2.5186 2.5103
9.2784 -1.2832 6.3088
9.2784 -2.5186 2.5103
7.4046 2.8370 2.8437
7.4046 0.9648 6.6422
7.4046 -0.9648 0.9547
7.4046 -2.8370 4.7531
3.0794 0.0000 0.0000
4.3253 0.0000 3.7984
10.4840 0.0000 3.7984
11.7299 0.0000 0.0000
```

Peak list (10 most intense, 2θ = 10–90°, by angle)
12.0°, intensity 91.9
23.4°, intensity 85.7
24.5°, intensity 70.2
26.4°, intensity 95.0
33.3°, intensity 71.0
33.8°, intensity 62.0
34.6°, intensity 100.0
35.5°, intensity 45.7
41.8°, intensity 48.9
48.8°, intensity 66.6